No. 1
# Nd3UIn3Se8
Simulated PXRD pattern, Cu Kα (λ = 1.5418 Å). Input: DFT lattice parameters and positions (GGA-PBE).

Peak list (12 most intense, 5 to 70 degrees two-theta, sorted by position)
| two_theta | intensity |
| --- | --- |
| 11.43 | 23 |
| 12.60 | 13 |
| 25.37 | 8 |
| 28.70 | 100 |
| 36.44 | 9 |
| 39.52 | 37 |
| 42.51 | 35 |
| 46.93 | 6 |
| 52.09 | 19 |
| 59.43 | 11 |
| 65.16 | 13 |
| 69.42 | 15 |

Structure:
Unit cell a=9.1701 b=9.1701 c=9.1701 alpha=55.27 beta=55.27 gamma=55.27
Fractional coordinates of all 15 atoms:
Nd1 0.0000 0.5000 0.5000
Nd2 0.5000 0.0000 0.5000
Nd3 0.5000 0.5000 0.0000
U1 0.0000 0.0000 0.0000
In1 0.0000 0.0000 0.5000
In2 0.0000 0.5000 0.0000
In3 0.5000 0.0000 0.0000
Se1 0.2289 0.2289 0.7502
Se2 0.2289 0.7502 0.2289
Se3 0.2498 0.7711 0.7711
Se4 0.2615 0.2615 0.2615
Se5 0.7385 0.7385 0.7385
Se6 0.7502 0.2289 0.2289
Se7 0.7711 0.2498 0.7711
Se8 0.7711 0.7711 0.2498

=====

No. 2
# Pm2Si7Au12
Simulated PXRD pattern, Cu Kα (λ = 1.5418 Å). Input: DFT lattice parameters and positions (GGA-PBE).

Peak list (12 most intense, 5 to 70 degrees two-theta, sorted by position)
| two_theta | intensity |
| --- | --- |
| 26.88 | 27 |
| 33.85 | 100 |
| 35.48 | 8 |
| 36.93 | 6 |
| 40.96 | 18 |
| 42.47 | 11 |
| 45.09 | 16 |
| 47.54 | 12 |
| 49.69 | 9 |
| 56.49 | 6 |
| 62.53 | 10 |
| 64.51 | 9 |

Structure:
Unit cell a=10.1213 b=10.1213 c=4.4068 alpha=90.00 beta=90.00 gamma=120.00
Fractional coordinates of all 21 atoms:
Pm1 0.3333 0.6667 0.2584
Pm2 0.6667 0.3333 0.7416
Si1 0.0000 0.0000 0.0000
Si2 0.1133 0.3968 0.7798
Si3 0.2835 0.8867 0.7798
Si4 0.3968 0.2835 0.2202
Si5 0.6032 0.7165 0.7798
Si6 0.7165 0.1133 0.2202
Si7 0.8867 0.6032 0.2202
Au1 0.0702 0.6137 0.7460
Au2 0.1240 0.8594 0.2850
Au3 0.1406 0.2646 0.2850
Au4 0.2646 0.1240 0.7150
Au5 0.3863 0.4565 0.7460
Au6 0.4565 0.0702 0.2540
Au7 0.5435 0.9298 0.7460
Au8 0.6137 0.5435 0.2540
Au9 0.7354 0.8760 0.2850
Au10 0.8594 0.7354 0.7150
Au11 0.8760 0.1406 0.7150
Au12 0.9298 0.3863 0.2540

=====

No. 3
# CdSn2Pb3
Simulated PXRD pattern, Cu Kα (λ = 1.5418 Å). Input: DFT lattice parameters and positions (GGA-PBE).

Peak list (12 most intense, 5 to 70 degrees two-theta, sorted by position)
| two_theta | intensity |
| --- | --- |
| 14.83 | 12 |
| 29.91 | 35 |
| 30.55 | 5 |
| 30.75 | 33 |
| 34.12 | 100 |
| 43.43 | 26 |
| 54.17 | 7 |
| 55.84 | 25 |
| 56.86 | 24 |
| 62.15 | 5 |
| 63.11 | 9 |
| 63.59 | 8 |

Structure:
Unit cell a=5.8152 b=10.1594 c=5.9744 alpha=90.00 beta=90.00 gamma=90.00
Fractional coordinates of all 12 atoms:
Cd1 0.0000 0.0000 0.0000
Cd2 0.5000 0.5000 0.0000
Sn1 0.0000 0.3276 0.0000
Sn2 0.0000 0.6724 0.0000
Sn3 0.5000 0.1724 0.0000
Sn4 0.5000 0.8276 0.0000
Pb1 0.0000 0.1676 0.5000
Pb2 0.0000 0.5000 0.5000
Pb3 0.0000 0.8324 0.5000
Pb4 0.5000 0.0000 0.5000
Pb5 0.5000 0.3324 0.5000
Pb6 0.5000 0.6676 0.5000

=====

No. 4
# RbAg2Cl4
Simulated PXRD pattern, Cu Kα (λ = 1.5418 Å). Input: DFT lattice parameters and positions (GGA-PBE).

Peak list (12 most intense, 5 to 70 degrees two-theta, sorted by position)
| two_theta | intensity |
| --- | --- |
| 11.31 | 47 |
| 19.40 | 14 |
| 22.29 | 10 |
| 22.74 | 10 |
| 25.06 | 100 |
| 32.05 | 12 |
| 39.39 | 45 |
| 41.37 | 23 |
| 45.48 | 16 |
| 47.49 | 9 |
| 52.62 | 24 |
| 63.15 | 12 |

Structure:
Unit cell a=5.6411 b=5.6411 c=7.8225 alpha=90.00 beta=90.00 gamma=90.00
Fractional coordinates of all 7 atoms:
Rb1 0.0000 0.0000 0.0000
Ag1 0.0000 0.5000 0.5000
Ag2 0.5000 0.0000 0.5000
Cl1 0.2736 0.2736 0.6986
Cl2 0.2736 0.7264 0.3014
Cl3 0.7264 0.2736 0.3014
Cl4 0.7264 0.7264 0.6986

=====

No. 5
# MgN2Cl2
Simulated PXRD pattern, Cu Kα (λ = 1.5418 Å). Input: DFT lattice parameters and positions (GGA-PBE).

Peak list (12 most intense, 5 to 70 degrees two-theta, sorted by position)
| two_theta | intensity |
| --- | --- |
| 8.45 | 100 |
| 16.95 | 19 |
| 25.54 | 8 |
| 28.85 | 10 |
| 29.52 | 25 |
| 32.51 | 39 |
| 33.69 | 23 |
| 37.73 | 15 |
| 45.43 | 9 |
| 49.55 | 19 |
| 52.98 | 6 |
| 61.26 | 9 |

Structure:
Unit cell a=6.3826 b=3.6794 c=10.4782 alpha=90.00 beta=93.01 gamma=90.00
Fractional coordinates of all 10 atoms:
Mg1 0.0000 0.0000 0.0000
Mg2 0.5000 0.5000 0.0000
N1 0.0328 0.0000 0.4518
N2 0.4672 0.5000 0.5482
N3 0.5328 0.5000 0.4518
N4 0.9672 0.0000 0.5482
Cl1 0.1554 0.5000 0.8691
Cl2 0.3446 0.0000 0.1309
Cl3 0.6554 0.0000 0.8691
Cl4 0.8446 0.5000 0.1309